For Li9Mn2Co5O16, a structure optimized by DFT (PBE+U) gives the computed PXRD pattern in this record (Cu Kα).
Lines closer than 0.1° are merged.

Largest 6 diffraction maxima, in order of rising 2θ, 5° ≤ 2θ ≤ 70°:
- hkl 0 1 1, 2θ 18.50, rel. 1000
- hkl 2 0 2, 2θ 34.76, rel. 168
- hkl 0 2 -2, 2θ 36.72, rel. 239
- hkl 2 1 3, 2θ 41.89, rel. 307
- hkl 0 3 -1, 2θ 44.69, rel. 507
- hkl 2 -2 4, 2θ 62.78, rel. 152

Structural model:
```
Li9Mn2Co5O16
1.0
5.936 0.000 0.000
1.487 6.280 0.000
1.969 -0.156 7.615
Li Mn Co O
9 2 5 16
Direct
0.000 0.000 0.000 Li
0.001 0.503 0.505 Li
0.244 0.266 0.759 Li
0.249 0.752 0.249 Li
0.367 0.627 0.878 Li
0.495 0.499 0.498 Li
0.496 0.009 0.010 Li
0.728 0.276 0.760 Li
0.735 0.751 0.240 Li
0.125 0.884 0.631 Mn
0.622 0.885 0.632 Mn
0.116 0.378 0.122 Co
0.371 0.132 0.375 Co
0.611 0.381 0.120 Co
0.869 0.633 0.879 Co
0.873 0.135 0.376 Co
0.036 0.667 0.048 O
0.080 0.179 0.557 O
0.159 0.590 0.695 O
0.163 0.082 0.195 O
0.303 0.939 0.789 O
0.325 0.426 0.309 O
0.410 0.320 0.953 O
0.417 0.832 0.442 O
0.577 0.675 0.056 O
0.581 0.184 0.559 O
0.664 0.086 0.199 O
0.700 0.594 0.705 O
0.825 0.427 0.306 O
0.833 0.932 0.816 O
0.904 0.339 0.941 O
0.939 0.842 0.458 O
```



For Li4V2P4H3O16, a structure optimized by DFT (PBE+U) gives the computed PXRD pattern in this record (Cu Kα).
Lines closer than 0.1° are merged.

Largest 6 diffraction maxima, in order of rising 2θ, 5° ≤ 2θ ≤ 70°:
- hkl 0 1 -1, 2θ 15.67, rel. 471
- hkl -1 1 1, 2θ 22.34, rel. 714
- hkl 1 1 0, 2θ 23.82, rel. 1000
- hkl 1 -2 1, 2θ 28.79, rel. 504
- hkl -1 2 1, 2θ 28.92, rel. 433
- hkl 0 2 2, 2θ 32.32, rel. 382

Structural model:
```
Li4V2P4H3O16
1.0
4.952 0.000 0.000
-1.608 7.544 0.000
-0.110 -0.173 8.348
Li V P H O
4 2 4 3 16
Direct
0.000 0.000 0.000 Li
0.194 0.299 0.754 Li
0.486 0.465 0.226 Li
0.733 0.825 0.517 Li
0.107 0.149 0.373 V
0.611 0.643 0.876 V
0.232 0.897 0.719 P
0.491 0.894 0.201 P
0.720 0.401 0.546 P
0.988 0.389 0.028 P
0.068 0.607 0.472 H
0.148 0.675 0.253 H
0.553 0.116 0.855 H
0.088 0.356 0.198 O
0.128 0.943 0.556 O
0.234 0.492 0.928 O
0.269 0.000 0.177 O
0.346 0.705 0.280 O
0.357 0.082 0.810 O
0.457 0.786 0.701 O
0.501 0.324 0.420 O
0.590 0.447 0.703 O
0.617 0.847 0.042 O
0.714 0.970 0.326 O
0.769 0.510 0.047 O
0.867 0.591 0.470 O
0.870 0.214 0.934 O
0.945 0.296 0.570 O
0.994 0.807 0.824 O
```